No. 1
Diffraction record for MgTi2Ge2O6. The X-ray diffraction stick pattern is calculated, not measured: it uses a DFT-relaxed cell (GGA-PBE, the Materials Project) and copper Kα.
Neutral-atom scattering factors, no anomalous dispersion.

Crystal structure
```
11
Lattice="2.576 1.487 5.687 -2.576 1.487 5.687 0.000 -2.974 5.687" Properties=species:S:1:pos:R:3 pbc="T T T"
Mg 0.000 0.000 0.000
Ti 0.000 0.000 3.038
Ti 0.000 0.000 14.023
Ge 0.000 0.000 6.527
Ge 0.000 0.000 10.534
O -1.753 0.149 7.366
O -1.005 -1.444 9.696
O 0.748 -1.593 7.366
O -0.748 1.593 9.696
O 1.005 1.444 7.366
O 1.753 -0.149 9.696
```

Main lines, most intense first (5° ≤ 2θ ≤ 70°):
2θ/deg  I (rel.)
33.05  100
34.83  91
28.96  72
48.78  40
62.45  37
61.33  36


No. 2
Diffraction record for Rb2UPd3S6. The X-ray diffraction stick pattern is calculated, not measured: it uses a DFT-relaxed cell (GGA-PBE, the Materials Project) and copper Kα.
Neutral-atom scattering factors, no anomalous dispersion.

Crystal structure
```
24
Lattice="0.000 7.454 8.471 4.899 0.000 8.471 4.899 7.454 0.000" Properties=species:S:1:pos:R:3 pbc="T T T"
Rb 4.899 3.034 8.471
Rb 2.450 3.727 4.236
Rb 7.349 11.181 12.707
Rb 4.899 11.874 8.471
U 4.899 7.454 5.626
U 4.899 7.454 11.316
Pd 8.201 7.454 5.772
Pd 8.201 7.454 11.170
Pd 6.595 7.454 8.471
Pd 3.204 7.454 8.471
Pd 1.598 7.454 5.772
Pd 1.598 7.454 11.170
S 4.899 5.851 3.451
S 6.725 5.836 6.737
S 6.725 5.836 10.205
S 4.899 9.056 3.451
S 6.725 9.072 6.737
S 3.074 5.836 6.737
S 6.725 9.072 10.205
S 3.074 5.836 10.205
S 4.899 5.851 13.491
S 3.074 9.072 6.737
S 3.074 9.072 10.205
S 4.899 9.056 13.491
```

Main lines, most intense first (5° ≤ 2θ ≤ 70°):
2θ/deg  I (rel.)
11.87  100
24.15  61
32.22  49
44.14  43
36.56  38
33.95  25


No. 3
Diffraction record for Er2Ga3Ni. The X-ray diffraction stick pattern is calculated, not measured: it uses a DFT-relaxed cell (GGA-PBE, the Materials Project) and copper Kα.
Neutral-atom scattering factors, no anomalous dispersion.

Crystal structure
```
12
Lattice="10.147 0.000 0.000 0.000 4.325 0.000 -4.755 0.000 5.170" Properties=species:S:1:pos:R:3 pbc="T T T"
Er 0.000 0.000 0.000
Er -1.901 0.000 3.070
Er 5.073 2.162 0.000
Er 3.173 2.162 3.070
Ga 0.265 2.162 2.031
Ga 2.926 0.000 0.922
Ga 1.150 0.000 3.148
Ga 5.338 0.000 2.031
Ga 7.999 2.162 0.922
Ga 6.223 2.162 3.148
Ni 2.093 2.162 0.081
Ni 7.166 0.000 0.081
```

Main lines, most intense first (5° ≤ 2θ ≤ 70°):
2θ/deg  I (rel.)
41.83  100
34.85  80
35.23  61
23.79  39
34.39  31
35.45  29


No. 4
Diffraction record for Bi3ClO4. The X-ray diffraction stick pattern is calculated, not measured: it uses a DFT-relaxed cell (GGA-PBE, the Materials Project) and copper Kα.
Neutral-atom scattering factors, no anomalous dispersion.

Crystal structure
```
16
Lattice="9.803 -2.899 0.000 9.803 2.899 0.000 -1.671 0.000 5.546" Properties=species:S:1:pos:R:3 pbc="T T T"
Bi 6.863 1.179 0.340
Bi 8.550 1.712 4.160
Bi 11.907 1.179 2.433
Bi 6.027 -1.179 3.113
Bi 9.385 -1.712 1.387
Bi 11.072 -1.179 5.206
Cl 4.066 1.450 2.773
Cl 4.901 -1.450 0.000
O 9.443 -2.515 5.507
O 8.491 2.515 0.039
O 10.279 2.515 2.734
O 7.376 0.239 2.205
O 6.540 -0.239 4.978
O 11.394 0.239 0.568
O 10.559 -0.239 3.341
O 7.656 -2.515 2.812
```

Main lines, most intense first (5° ≤ 2θ ≤ 70°):
2θ/deg  I (rel.)
29.00  100
28.85  74
23.66  63
30.86  61
53.84  30
53.60  28


No. 5
Diffraction record for Ba2ZrC8O19. The X-ray diffraction stick pattern is calculated, not measured: it uses a DFT-relaxed cell (GGA-PBE, the Materials Project) and copper Kα.
Neutral-atom scattering factors, no anomalous dispersion.

Crystal structure
```
60
Lattice="4.846 -15.089 0.000 4.846 15.089 0.000 -4.478 0.000 7.653" Properties=species:S:1:pos:R:3 pbc="T T T"
Ba 1.487 14.753 5.739
Ba 1.487 6.685 5.739
Ba 3.726 -6.685 1.913
Ba 3.726 -14.753 1.913
Zr 3.726 4.101 1.913
Zr 1.487 -4.101 5.739
C 1.426 5.959 0.970
C 1.298 5.836 2.512
C 1.935 1.937 0.651
C -1.438 2.171 7.239
C -0.304 -1.937 4.477
C 0.801 -2.171 3.412
C -0.813 -5.959 4.796
C -0.940 -5.836 6.339
C 6.154 5.836 1.314
C 6.026 5.959 2.857
C 4.413 2.171 4.240
C 5.517 1.937 3.175
C 6.652 -2.171 0.414
C 3.279 -1.937 7.001
C 3.915 -5.836 5.140
C 3.788 -5.959 6.683
O 0.339 6.353 3.116
O -1.324 5.492 5.724
O 1.025 1.098 0.412
O 2.434 5.288 0.517
O -0.250 8.427 7.303
O -1.214 -1.098 4.238
O -1.471 1.512 6.178
O 2.031 2.628 1.717
O 2.258 5.207 3.099
O 0.768 -1.512 2.352
O -0.579 3.050 7.587
O 3.225 8.427 4.176
O 1.487 3.660 5.739
O 0.915 -5.492 1.898
O -0.208 -2.628 5.544
O 5.194 5.207 0.727
O -1.899 -6.353 6.943
O 0.195 -5.288 4.343
O 1.659 -3.050 3.761
O 3.554 3.050 3.892
O 5.018 5.288 3.309
O 7.113 6.353 0.710
O 0.020 -5.207 6.925
O 5.421 2.628 2.109
O 4.299 5.492 5.754
O 3.726 -3.660 1.913
O 1.989 -8.427 3.476
O 5.793 -3.050 0.065
O 4.445 1.512 5.301
O 2.955 -5.207 4.553
O 3.182 -2.628 5.935
O 6.684 -1.512 1.475
O 6.427 1.098 3.414
O 5.463 -8.427 0.350
O 2.779 -5.288 7.135
O 4.188 -1.098 7.241
O 6.537 -5.492 1.928
O 4.874 -6.353 4.536
```

Main lines, most intense first (5° ≤ 2θ ≤ 70°):
2θ/deg  I (rel.)
13.77  100
14.13  49
24.31  24
21.94  20
31.95  19
23.24  16


No. 6
Diffraction record for K4Zr6CBr18. The X-ray diffraction stick pattern is calculated, not measured: it uses a DFT-relaxed cell (GGA-PBE, the Materials Project) and copper Kα.
Neutral-atom scattering factors, no anomalous dispersion.

Crystal structure
```
29
Lattice="10.412 0.000 0.000 -2.545 10.247 0.000 -1.854 -5.700 8.812" Properties=species:S:1:pos:R:3 pbc="T T T"
K 1.070 -0.901 2.001
K -0.951 4.206 4.970
K 6.963 0.341 3.843
K 4.943 5.448 6.811
Zr 1.109 0.144 6.823
Zr 1.274 -2.727 8.420
Zr 1.960 5.649 1.149
Zr 4.053 -1.102 7.663
Zr 4.739 7.274 0.392
Zr 4.904 4.403 1.989
C 3.933 5.124 0.000
Br -0.153 1.051 4.369
Br 0.073 -2.230 6.055
Br -2.306 4.863 7.924
Br -1.267 0.847 7.838
Br 0.759 3.250 0.859
Br -0.423 6.308 2.554
Br 3.217 -0.344 5.194
Br 3.417 -3.666 7.065
Br 1.911 2.725 6.960
Br 4.101 1.822 1.852
Br 2.596 8.213 1.748
Br 2.796 4.891 3.618
Br 6.436 -1.761 6.258
Br 5.254 1.297 7.953
Br 7.279 3.700 0.975
Br 8.319 -0.316 0.888
Br 5.940 6.777 2.757
Br 6.166 3.496 4.443
```

Main lines, most intense first (5° ≤ 2θ ≤ 70°):
2θ/deg  I (rel.)
9.71  100
9.30  99
10.04  90
31.22  85
30.44  77
33.54  77


No. 7
Diffraction record for Ba3Br4Cl2. The X-ray diffraction stick pattern is calculated, not measured: it uses a DFT-relaxed cell (GGA-PBE, the Materials Project) and copper Kα.
Neutral-atom scattering factors, no anomalous dispersion.

Crystal structure
```
36
Lattice="8.335 0.000 0.000 0.040 10.941 0.000 0.039 4.293 13.229" Properties=species:S:1:pos:R:3 pbc="T T T"
Ba 0.000 0.000 0.000
Ba 8.371 6.501 8.836
Ba 0.175 9.622 13.169
Ba 0.215 3.122 4.350
Ba 0.254 11.842 8.768
Ba 4.195 10.932 5.542
Ba 4.169 2.134 1.162
Ba 4.209 8.696 9.867
Ba 4.310 3.229 9.942
Ba 4.313 5.444 5.528
Ba 4.324 7.730 1.158
Ba 8.369 8.714 4.423
Br 1.965 3.895 7.510
Br 1.961 6.120 3.117
Br 2.001 12.637 11.920
Br 2.442 5.774 11.227
Br 2.444 7.999 6.820
Br 2.441 10.221 2.417
Br 3.425 9.232 12.972
Br 6.102 2.488 6.801
Br 6.110 4.699 2.408
Br 6.149 11.222 11.199
Br 6.617 7.143 11.918
Br 6.619 9.371 7.506
Br 6.618 11.580 3.109
Br 7.562 3.673 10.165
Br 7.564 5.890 5.760
Br 7.570 8.115 1.353
Cl 0.988 2.642 1.358
Cl 1.027 9.157 10.164
Cl 1.033 11.372 5.762
Cl 3.370 2.712 4.155
Cl 3.409 11.444 8.554
Cl 5.161 5.986 8.565
Cl 5.161 8.215 4.174
Cl 5.204 14.719 12.976
```

Main lines, most intense first (5° ≤ 2θ ≤ 70°):
2θ/deg  I (rel.)
29.51  100
29.45  58
36.41  52
32.94  47
21.07  45
27.81  44


No. 8
Diffraction record for BeSiNi2. The X-ray diffraction stick pattern is calculated, not measured: it uses a DFT-relaxed cell (GGA-PBE, the Materials Project) and copper Kα.
Neutral-atom scattering factors, no anomalous dispersion.

Crystal structure
```
4
Lattice="2.750 0.000 0.000 0.000 2.750 0.000 0.000 0.000 5.294" Properties=species:S:1:pos:R:3 pbc="T T T"
Be 0.000 0.000 0.000
Si 0.000 0.000 2.647
Ni 1.375 1.375 1.296
Ni 1.375 1.375 3.998
```

Main lines, most intense first (5° ≤ 2θ ≤ 70°):
2θ/deg  I (rel.)
47.69  100
46.71  53
32.56  52
33.86  23
58.94  17
68.21  16


No. 9
Diffraction record for CaCuN. The X-ray diffraction stick pattern is calculated, not measured: it uses a DFT-relaxed cell (GGA-PBE, the Materials Project) and copper Kα.
Neutral-atom scattering factors, no anomalous dispersion.

Crystal structure
```
3
Lattice="4.167 0.000 0.000 -2.083 3.609 0.000 0.000 0.000 3.683" Properties=species:S:1:pos:R:3 pbc="T T T"
Ca 0.000 0.000 0.000
Cu 2.083 1.203 1.841
N 2.083 1.203 0.000
```

Main lines, most intense first (5° ≤ 2θ ≤ 70°):
2θ/deg  I (rel.)
34.81  100
24.67  90
43.43  55
67.94  25
56.82  23
56.07  16


No. 10
Diffraction record for Ti2CoRe. The X-ray diffraction stick pattern is calculated, not measured: it uses a DFT-relaxed cell (GGA-PBE, the Materials Project) and copper Kα.
Neutral-atom scattering factors, no anomalous dispersion.

Crystal structure
```
16
Lattice="6.113 0.000 0.000 0.000 6.113 0.000 0.000 0.000 6.113" Properties=species:S:1:pos:R:3 pbc="T T T"
Ti 1.528 1.528 1.528
Ti 1.528 1.528 4.585
Ti 1.528 4.585 1.528
Ti 1.528 4.585 4.585
Ti 4.585 1.528 1.528
Ti 4.585 1.528 4.585
Ti 4.585 4.585 1.528
Ti 4.585 4.585 4.585
Co 0.000 0.000 0.000
Co 0.000 3.056 3.056
Co 3.056 0.000 3.056
Co 3.056 3.056 0.000
Re 0.000 0.000 3.056
Re 0.000 3.056 0.000
Re 3.056 0.000 0.000
Re 3.056 3.056 3.056
```

Main lines, most intense first (5° ≤ 2θ ≤ 70°):
2θ/deg  I (rel.)
41.80  100
25.24  32
29.22  26
49.45  17
60.59  16
68.67  10


No. 11
Diffraction record for LiCa3. The X-ray diffraction stick pattern is calculated, not measured: it uses a DFT-relaxed cell (GGA-PBE, the Materials Project) and copper Kα.
Neutral-atom scattering factors, no anomalous dispersion.

Crystal structure
```
8
Lattice="7.492 0.000 0.000 -3.746 6.488 0.000 0.000 0.000 6.155" Properties=species:S:1:pos:R:3 pbc="T T T"
Li 0.000 4.325 1.539
Li 3.746 2.163 4.616
Ca 0.000 2.193 4.616
Ca -1.846 5.391 4.616
Ca 1.900 1.097 1.539
Ca 1.846 5.391 4.616
Ca 5.592 1.097 1.539
Ca 3.746 4.295 1.539
```

Main lines, most intense first (5° ≤ 2θ ≤ 70°):
2θ/deg  I (rel.)
31.17  100
19.88  28
29.01  27
27.50  24
52.79  20
57.61  20